Diffraction record for SrMg6Nb. The powder diffraction line list is calculated, not measured: it uses a GGA-PBE-relaxed structure and Cu Kα.

Atomic structure:
```
data_SrMg6Nb
_symmetry_space_group_name_H-M 'P 4/m m m'
_symmetry_Int_Tables_number 123
_symmetry_space_group_name_Hall '-P 4 2'
_cell_length_a 6.5841
_cell_length_b 6.5841
_cell_length_c 4.5033
_cell_angle_alpha 90.00
_cell_angle_beta 90.00
_cell_angle_gamma 90.00
loop_
_atom_site_label
_atom_site_type_symbol
_atom_site_fract_x
_atom_site_fract_y
_atom_site_fract_z
Sr1 Sr 0.0000 0.0000 0.0000
Mg1 Mg 0.0000 0.5000 0.0000
Mg2 Mg 0.2776 0.2776 0.5000
Nb1 Nb 0.5000 0.5000 0.0000
```

Main lines, most intense first (2θ from 5° to 70°):
| 2θ (°) | intensity | (hkl) |
| --- | --- | --- |
| 33.73 | 100 | 2 0 1 |
| 19.06 | 34 | 1 1 0 |
| 38.68 | 33 | 2 2 0 |
| 27.56 | 26 | 1 1 1 |
| 66.86 | 22 | 4 2 1 |
| 56.89 | 21 | 2 2 2 |

***

Diffraction record for Ca2CeTl. The powder diffraction line list is calculated, not measured: it uses a GGA-PBE-relaxed structure and Cu Kα.

Atomic structure:
```
data_Ca2CeTl
_symmetry_space_group_name_H-M 'P 4/m m m'
_symmetry_Int_Tables_number 123
_symmetry_space_group_name_Hall '-P 4 2'
_cell_length_a 4.9599
_cell_length_b 4.9599
_cell_length_c 5.2537
_cell_angle_alpha 90.00
_cell_angle_beta 90.00
_cell_angle_gamma 90.00
loop_
_atom_site_label
_atom_site_type_symbol
_atom_site_fract_x
_atom_site_fract_y
_atom_site_fract_z
Ca1 Ca 0.0000 0.5000 0.0000
Ce1 Ce 0.0000 0.0000 0.5000
Tl1 Tl 0.5000 0.5000 0.5000
```

Main lines, most intense first (2θ from 5° to 70°):
| 2θ (°) | intensity | (hkl) |
| --- | --- | --- |
| 30.65 | 100 | 1 1 1 |
| 16.88 | 36 | 0 0 1 |
| 36.22 | 32 | 2 0 0 |
| 25.40 | 28 | 1 1 0 |
| 61.72 | 27 | 3 1 1 |
| 50.62 | 24 | 2 0 2 |

***

Diffraction record for CeBeS2O8. The powder diffraction line list is calculated, not measured: it uses a GGA-PBE-relaxed structure and Cu Kα.

Atomic structure:
```
data_CeBeS2O8
_symmetry_space_group_name_H-M 'P -3 m 1'
_symmetry_Int_Tables_number 164
_symmetry_space_group_name_Hall '-P 3 2"'
_cell_length_a 5.0572
_cell_length_b 5.0572
_cell_length_c 6.6609
_cell_angle_alpha 90.00
_cell_angle_beta 90.00
_cell_angle_gamma 120.00
loop_
_atom_site_label
_atom_site_type_symbol
_atom_site_fract_x
_atom_site_fract_y
_atom_site_fract_z
Ce1 Ce 0.0000 0.0000 0.0000
Be1 Be 0.0000 0.0000 0.5000
S1 S 0.3333 0.6667 0.2693
O1 O 0.1659 0.3317 0.3264
O2 O 0.3333 0.6667 0.0431
```

Main lines, most intense first (2θ from 5° to 70°):
| 2θ (°) | intensity | (hkl) |
| --- | --- | --- |
| 24.32 | 100 | 0 1 1 |
| 33.81 | 48 | 1 0 2 |
| 20.28 | 45 | 1 0 0 |
| 38.07 | 43 | 1 1 1 |
| 35.50 | 39 | 1 1 0 |
| 13.29 | 35 | 0 0 1 |

***

Diffraction record for Tb4SmPb4. The powder diffraction line list is calculated, not measured: it uses a GGA-PBE-relaxed structure and Cu Kα.

Atomic structure:
```
data_Tb4SmPb4
_symmetry_space_group_name_H-M 'P 42/n'
_symmetry_Int_Tables_number 86
_cell_length_a 9.9962
_cell_length_b 9.9962
_cell_length_c 6.2434
_cell_angle_alpha 90.00
_cell_angle_beta 90.00
_cell_angle_gamma 90.00
loop_
_symmetry_equiv_pos_as_xyz
'x,y,z'
'-x,-y,-z'
'-y,x+1/2,z+1/2'
'y,-x+1/2,-z+1/2'
'-x+1/2,-y+1/2,z'
'x+1/2,y+1/2,-z'
'y+1/2,-x,z+1/2'
'-y+1/2,x,-z+1/2'
loop_
_atom_site_label
_atom_site_type_symbol
_atom_site_fract_x
_atom_site_fract_y
_atom_site_fract_z
Tb1 Tb 0.0839 0.6529 0.1544
Sm1 Sm 0.2500 0.2500 0.2500
Pb1 Pb 0.0326 0.6249 0.6597
```

Main lines, most intense first (2θ from 5° to 70°):
| 2θ (°) | intensity | (hkl) |
| --- | --- | --- |
| 28.23 | 100 | 1 3 0 |
| 29.99 | 43 | 1 0 2 |
| 40.35 | 32 | 4 2 0 |
| 39.56 | 28 | 3 0 2 |
| 43.67 | 27 | 3 2 2 |
| 35.43 | 24 | 2 3 1 |

***

Diffraction record for SrAg5Hg2. The powder diffraction line list is calculated, not measured: it uses a GGA-PBE-relaxed structure and Cu Kα.

Atomic structure:
```
data_SrAg5Hg2
_symmetry_space_group_name_H-M 'I m m m'
_symmetry_Int_Tables_number 71
_symmetry_space_group_name_Hall '-I 2 2'
_cell_length_a 4.2391
_cell_length_b 7.8360
_cell_length_c 11.3297
_cell_angle_alpha 90.00
_cell_angle_beta 90.00
_cell_angle_gamma 90.00
loop_
_atom_site_label
_atom_site_type_symbol
_atom_site_fract_x
_atom_site_fract_y
_atom_site_fract_z
Sr1 Sr 0.0000 0.0000 0.0000
Ag1 Ag 0.0000 0.1846 0.3744
Ag2 Ag 0.0000 0.5000 0.0000
Hg1 Hg 0.0000 0.5000 0.2599
```

Main lines, most intense first (2θ from 5° to 70°):
| 2θ (°) | intensity | (hkl) |
| --- | --- | --- |
| 39.25 | 100 | 0 2 4 |
| 39.97 | 83 | 1 1 4 |
| 40.57 | 82 | 1 3 0 |
| 31.73 | 80 | 1 0 3 |
| 28.66 | 79 | 1 1 2 |
| 32.10 | 67 | 1 2 1 |

***

Diffraction record for CaTeI. The powder diffraction line list is calculated, not measured: it uses a GGA-PBE-relaxed structure and Cu Kα.

Atomic structure:
```
data_CaTeI
_symmetry_space_group_name_H-M 'P 1'
_symmetry_Int_Tables_number 1
_symmetry_space_group_name_Hall 'P 1'
_cell_length_a 4.8613
_cell_length_b 5.4514
_cell_length_c 5.9674
_cell_angle_alpha 87.30
_cell_angle_beta 66.02
_cell_angle_gamma 63.69
loop_
_atom_site_label
_atom_site_type_symbol
_atom_site_fract_x
_atom_site_fract_y
_atom_site_fract_z
Ca1 Ca 0.0000 0.0000 0.0000
Te1 Te 0.2552 0.3940 0.0981
I1 I 0.7582 0.8927 0.5901
```

Main lines, most intense first (2θ from 5° to 70°):
| 2θ (°) | intensity | (hkl) |
| --- | --- | --- |
| 21.51 | 100 | 1 1 0 |
| 22.67 | 53 | 0 1 -1 |
| 33.55 | 47 | 1 1 2 |
| 39.13 | 34 | 1 2 -1 |
| 26.75 | 24 | 0 1 1 |
| 33.31 | 24 | 0 0 2 |